(1)
# Na2B3C
Simulated X-ray powder pattern, Cu Kα, 1.54184 Å. Input: the PBE geometry in Alexandria.
Neutral-atom scattering factors, no anomalous dispersion.

Principal peaks in the range 2θ from 10° to 80°, by angle:
- 36.21°, intensity 16
- 40.42°, intensity 24
- 40.46°, intensity 24
- 41.91°, intensity 38
- 42.02°, intensity 100
- 62.81°, intensity 17

Atomic structure:
```
Na2B3C
1.0
11.647 -1.410 0.000
11.647 1.410 0.000
-2.887 0.000 9.649
Na B C
10 15 5
Cartesian
0.000 0.000 0.000 Na
0.361 0.000 6.713 Na
3.504 0.000 3.815 Na
6.640 0.000 0.930 Na
6.997 0.000 7.667 Na
10.216 0.000 4.788 Na
13.421 0.000 1.909 Na
13.725 0.000 8.639 Na
16.865 0.000 5.746 Na
20.064 0.000 2.857 Na
-0.316 0.000 2.799 B
0.845 0.000 4.064 B
-0.056 0.000 9.512 B
3.110 0.000 6.599 B
4.254 0.000 7.888 B
6.105 0.000 3.505 B
7.289 0.000 4.819 B
9.458 0.000 0.797 B
10.582 0.000 2.006 B
9.986 0.000 7.740 B
14.082 0.000 5.835 B
16.110 0.000 1.676 B
17.474 0.000 9.633 B
19.720 0.000 5.661 B
20.859 0.000 6.891 B
3.916 0.000 1.067 C
11.032 0.000 8.892 C
13.032 0.000 4.653 C
17.207 0.000 2.895 C
16.438 0.000 8.500 C
```


(2)
# Nd2Ni2Ag3
Simulated X-ray powder pattern, Cu Kα, 1.54184 Å. Input: the PBE geometry in Alexandria.
Neutral-atom scattering factors, no anomalous dispersion.

Principal peaks in the range 2θ from 10° to 80°, by angle:
- 33.51°, intensity 100
- 36.34°, intensity 68
- 39.32°, intensity 54
- 46.47°, intensity 24
- 60.38°, intensity 30
- 64.39°, intensity 24

Atomic structure:
```
Nd2Ni2Ag3
1.0
1.954 -9.901 0.000
1.954 9.901 0.000
0.000 0.000 3.732
Nd Ni Ag
2 2 3
Cartesian
1.954 6.660 0.000 Nd
1.954 -6.660 0.000 Nd
1.954 4.225 1.866 Ni
1.954 -4.225 1.866 Ni
0.000 0.000 0.000 Ag
1.954 1.392 1.866 Ag
1.954 -1.392 1.866 Ag
```


(3)
# K2La2Ir
Simulated X-ray powder pattern, Cu Kα, 1.54184 Å. Input: the PBE geometry in Alexandria.
Neutral-atom scattering factors, no anomalous dispersion.

Principal peaks in the range 2θ from 10° to 80°, by angle:
- 12.08°, intensity 100
- 20.54°, intensity 21
- 24.30°, intensity 43
- 29.04°, intensity 41
- 39.58°, intensity 23
- 45.23°, intensity 22

Atomic structure:
```
K2La2Ir
1.0
7.576 0.000 0.000
0.000 7.576 0.000
0.000 0.000 7.325
K La Ir
4 4 2
Cartesian
1.447 2.341 0.000 K
2.341 6.128 0.000 K
5.235 1.447 0.000 K
6.128 5.235 0.000 K
1.403 5.191 3.663 La
2.385 1.403 3.663 La
5.191 6.173 3.663 La
6.173 2.385 3.663 La
0.000 0.000 3.663 Ir
3.788 3.788 3.663 Ir
```


(4)
# Nb3GeIr
Simulated X-ray powder pattern, Cu Kα, 1.54184 Å. Input: the PBE geometry in Alexandria.
Neutral-atom scattering factors, no anomalous dispersion.

Principal peaks in the range 2θ from 10° to 80°, by angle:
- 18.25°, intensity 84
- 25.92°, intensity 47
- 36.98°, intensity 100
- 41.54°, intensity 42
- 53.30°, intensity 69
- 66.64°, intensity 23

Atomic structure:
```
Nb3GeIr
1.0
4.861 0.000 0.000
0.000 4.861 0.000
0.000 0.000 4.861
Nb Ge Ir
3 1 1
Cartesian
0.000 0.000 2.431 Nb
0.000 2.431 0.000 Nb
2.431 0.000 0.000 Nb
2.431 2.431 2.431 Ge
0.000 0.000 0.000 Ir
```


(5)
# Na2Ge3Pd5
Simulated X-ray powder pattern, Cu Kα, 1.54184 Å. Input: the PBE geometry in Alexandria.
Neutral-atom scattering factors, no anomalous dispersion.

Principal peaks in the range 2θ from 10° to 80°, by angle:
- 19.54°, intensity 39
- 35.87°, intensity 57
- 36.41°, intensity 100
- 39.04°, intensity 33
- 43.72°, intensity 61
- 48.09°, intensity 62

Atomic structure:
```
Na2Ge3Pd5
1.0
2.071 -12.502 0.000
2.071 12.502 0.000
0.000 0.000 6.612
Na Ge Pd
4 6 10
Cartesian
2.071 12.056 3.306 Na
2.071 4.368 3.334 Na
2.071 -4.368 0.028 Na
2.071 -12.056 0.000 Na
2.071 9.729 1.747 Ge
2.071 5.652 0.024 Ge
2.071 1.164 1.883 Ge
2.071 -1.164 5.189 Ge
2.071 -5.652 3.330 Ge
2.071 -9.729 5.053 Ge
2.071 10.053 5.758 Pd
2.071 7.344 4.756 Pd
2.071 7.248 1.915 Pd
2.071 3.104 0.196 Pd
2.071 1.408 4.416 Pd
2.071 -1.408 1.111 Pd
2.071 -3.104 3.502 Pd
2.071 -7.248 5.221 Pd
2.071 -7.344 1.450 Pd
2.071 -10.053 2.452 Pd
```


(6)
# TbPm2Ho12
Simulated X-ray powder pattern, Cu Kα, 1.54184 Å. Input: the PBE geometry in Alexandria.
Neutral-atom scattering factors, no anomalous dispersion.

Principal peaks in the range 2θ from 10° to 80°, by angle:
- 30.33°, intensity 92
- 30.45°, intensity 52
- 31.35°, intensity 67
- 32.08°, intensity 100
- 32.66°, intensity 91
- 33.60°, intensity 52

Atomic structure:
```
TbPm2Ho12
1.0
3.533 0.000 0.000
0.000 5.579 0.000
-1.723 0.000 24.290
Tb Pm Ho
1 2 12
Cartesian
0.000 0.000 0.000 Tb
0.020 0.000 17.678 Pm
1.791 0.000 6.612 Pm
0.023 0.000 3.300 Ho
0.021 2.790 4.870 Ho
0.025 2.790 8.040 Ho
0.028 0.000 10.397 Ho
0.015 2.790 13.475 Ho
0.029 2.790 22.497 Ho
1.781 2.790 1.793 Ho
1.795 2.790 10.815 Ho
1.783 0.000 13.893 Ho
1.786 2.790 16.250 Ho
1.790 2.790 19.420 Ho
1.787 0.000 20.990 Ho
```